The following is a computed powder X-ray diffraction pattern of Rb2CuSi2. It was derived from the GGA-PBE geometry in Alexandria, using Cu Kα X-rays.
Intensities are scaled so that the largest is 100.

Main lines, by angle (2θ = 15–90°):
24.98 deg, I 15.1, hkl 1 0 1; 27.53 deg, I 49.2, hkl 1 0 3; 32.07 deg, I 100.0, hkl 1 0 5; 32.59 deg, I 19.9, hkl 0 0 8; 35.14 deg, I 23.1, hkl 1 1 0; 36.11 deg, I 36.0, hkl 1 1 2; 38.89 deg, I 19.5, hkl 1 1 4; 50.54 deg, I 20.6, hkl 2 0 0; 55.13 deg, I 29.9, hkl 1 1 10; 61.13 deg, I 29.6, hkl 2 1 5

Cell and atoms:
```
data_Rb2CuSi2
_symmetry_space_group_name_H-M 'I 4/m m m'
_symmetry_Int_Tables_number 139
_symmetry_space_group_name_Hall '-I 4 2'
_cell_length_a 3.612
_cell_length_b 3.612
_cell_length_c 21.978
_cell_angle_alpha 90.00
_cell_angle_beta 90.00
_cell_angle_gamma 90.00
loop_
_atom_site_label
_atom_site_type_symbol
_atom_site_fract_x
_atom_site_fract_y
_atom_site_fract_z
_atom_site_occupancy
Rb1 Rb 0.000 0.000 0.105 1
Cu1 Cu 0.000 0.000 0.500 1
Si1 Si 0.000 0.500 0.250 1
```

---

The following is a computed powder X-ray diffraction pattern of TbPmTeN. It was derived from the GGA-PBE geometry in Alexandria, using Cu Kα X-rays.
Intensities are scaled so that the largest is 100.

Main lines, by angle (2θ = 15–90°):
30.78 deg, I 100.0, hkl 0 1 3; 31.07 deg, I 96.8, hkl 1 0 3; 33.28 deg, I 80.9, hkl 1 1 0; 40.60 deg, I 17.8, hkl 0 0 6; 47.38 deg, I 17.0, hkl 0 2 0; 48.17 deg, I 16.2, hkl 2 0 0; 53.46 deg, I 36.3, hkl 1 1 6; 57.74 deg, I 33.3, hkl 1 2 3; 58.26 deg, I 32.6, hkl 2 1 3; 79.02 deg, I 13.5, hkl 1 3 0

Cell and atoms:
```
data_TbPmTeN
_symmetry_space_group_name_H-M 'I m m 2'
_symmetry_Int_Tables_number 44
_cell_length_a 3.778
_cell_length_b 3.838
_cell_length_c 13.334
_cell_angle_alpha 90.00
_cell_angle_beta 90.00
_cell_angle_gamma 90.00
loop_
_symmetry_equiv_pos_as_xyz
'x,y,z'
'-x,-y,z'
'-x,y,z'
'x,-y,z'
'x+1/2,y+1/2,z+1/2'
'-x+1/2,-y+1/2,z+1/2'
'-x+1/2,y+1/2,z+1/2'
'x+1/2,-y+1/2,z+1/2'
loop_
_atom_site_label
_atom_site_type_symbol
_atom_site_fract_x
_atom_site_fract_y
_atom_site_fract_z
_atom_site_occupancy
Tb1 Tb 0.000 0.000 0.000 1
Pm1 Pm 0.000 0.000 0.698 1
Te1 Te 0.000 0.000 0.353 1
N1 N 0.000 0.500 0.597 1
```

---

The following is a computed powder X-ray diffraction pattern of La2Pm2PrY6. It was derived from the GGA-PBE geometry in Alexandria, using Cu Kα X-rays.
Intensities are scaled so that the largest is 100.

Main lines, by angle (2θ = 15–90°):
30.47 deg, I 70.4, hkl 0 4 1; 30.92 deg, I 43.8, hkl 2 0 0; 31.73 deg, I 100.0, hkl 1 3 2; 33.66 deg, I 17.4, hkl 0 0 4; 44.00 deg, I 22.3, hkl 2 4 1; 46.36 deg, I 14.2, hkl 2 0 4; 52.41 deg, I 13.8, hkl 0 4 5; 55.51 deg, I 20.0, hkl 3 3 2; 61.43 deg, I 18.1, hkl 1 7 3; 62.10 deg, I 16.4, hkl 2 4 5

Cell and atoms:
```
data_La2Pm2PrY6
_symmetry_space_group_name_H-M 'C m m m'
_symmetry_Int_Tables_number 65
_symmetry_space_group_name_Hall '-C 2 2'
_cell_length_a 5.783
_cell_length_b 12.191
_cell_length_c 10.650
_cell_angle_alpha 90.00
_cell_angle_beta 90.00
_cell_angle_gamma 90.00
loop_
_atom_site_label
_atom_site_type_symbol
_atom_site_fract_x
_atom_site_fract_y
_atom_site_fract_z
_atom_site_occupancy
La1 La 0.000 0.211 0.000 1
Pm1 Pm 0.000 0.130 0.500 1
Pr1 Pr 0.000 0.500 0.000 1
Y1 Y 0.000 0.000 0.208 1
Y2 Y 0.000 0.350 0.303 1
```

---

The following is a computed powder X-ray diffraction pattern of SmPtN. It was derived from the GGA-PBE geometry in Alexandria, using Cu Kα X-rays.
Intensities are scaled so that the largest is 100.

Main lines, by angle (2θ = 15–90°):
26.64 deg, I 29.8, hkl 1 1 0; 32.21 deg, I 38.3, hkl 0 6 0; 32.58 deg, I 20.9, hkl 0 4 1; 36.40 deg, I 12.0, hkl 1 1 1; 39.58 deg, I 100.0, hkl 1 3 1; 46.48 deg, I 11.8, hkl 1 7 0; 49.89 deg, I 13.4, hkl 0 0 2; 60.63 deg, I 12.5, hkl 0 6 2; 62.42 deg, I 18.1, hkl 1 9 1; 86.60 deg, I 10.8, hkl 1 3 3

Cell and atoms:
```
data_SmPtN
_symmetry_space_group_name_H-M 'C m c m'
_symmetry_Int_Tables_number 63
_symmetry_space_group_name_Hall '-C 2c 2'
_cell_length_a 3.415
_cell_length_b 16.677
_cell_length_c 3.656
_cell_angle_alpha 90.00
_cell_angle_beta 90.00
_cell_angle_gamma 90.00
loop_
_atom_site_label
_atom_site_type_symbol
_atom_site_fract_x
_atom_site_fract_y
_atom_site_fract_z
_atom_site_occupancy
Sm1 Sm 0.000 0.088 0.250 1
Pt1 Pt 0.000 0.236 0.750 1
N1 N 0.000 0.434 0.250 1
```

---

The following is a computed powder X-ray diffraction pattern of MnV2Ge2. It was derived from the GGA-PBE geometry in Alexandria, using Cu Kα X-rays.
Intensities are scaled so that the largest is 100.

Main lines, by angle (2θ = 15–90°):
32.57 deg, I 15.9, hkl 0 4 1; 35.16 deg, I 23.1, hkl 0 0 2; 37.85 deg, I 19.4, hkl 0 2 2; 40.73 deg, I 100.0, hkl 1 5 0; 42.02 deg, I 52.6, hkl 1 1 2; 43.18 deg, I 53.5, hkl 2 0 0; 45.10 deg, I 14.5, hkl 0 4 2; 46.60 deg, I 39.0, hkl 1 3 2; 54.88 deg, I 17.1, hkl 1 5 2; 77.51 deg, I 13.4, hkl 3 5 0

Cell and atoms:
```
data_MnV2Ge2
_symmetry_space_group_name_H-M 'C m c 21'
_symmetry_Int_Tables_number 36
_cell_length_a 4.190
_cell_length_b 13.048
_cell_length_c 5.105
_cell_angle_alpha 90.00
_cell_angle_beta 90.00
_cell_angle_gamma 90.00
loop_
_symmetry_equiv_pos_as_xyz
'x,y,z'
'-x,-y,z+1/2'
'-x,y,z'
'x,-y,z+1/2'
'x+1/2,y+1/2,z'
'-x+1/2,-y+1/2,z+1/2'
'-x+1/2,y+1/2,z'
'x+1/2,-y+1/2,z+1/2'
loop_
_atom_site_label
_atom_site_type_symbol
_atom_site_fract_x
_atom_site_fract_y
_atom_site_fract_z
_atom_site_occupancy
Mn1 Mn 0.000 0.114 0.000 1
V1 V 0.000 0.310 0.121 1
V2 V 0.000 0.495 0.297 1
Ge1 Ge 0.000 0.075 0.519 1
Ge2 Ge 0.000 0.311 0.620 1
```

---

The following is a computed powder X-ray diffraction pattern of Ag2H12SN4O4. It was derived from the GGA-PBE geometry in Alexandria, using Cu Kα X-rays.
Intensities are scaled so that the largest is 100.

Main lines, by angle (2θ = 15–90°):
20.57 deg, I 100.0, hkl 2 0 0; 28.15 deg, I 34.9, hkl 0 0 2; 29.25 deg, I 39.7, hkl 2 2 0; 31.81 deg, I 45.3, hkl 1 1 2; 32.80 deg, I 37.2, hkl 3 1 0; 35.12 deg, I 42.9, hkl 2 0 2; 41.05 deg, I 33.0, hkl 2 2 2; 43.76 deg, I 28.0, hkl 3 1 2; 47.07 deg, I 23.3, hkl 4 2 0; 55.75 deg, I 31.5, hkl 4 2 2

Cell and atoms:
```
data_Ag2H12SN4O4
_symmetry_space_group_name_H-M 'P -4 21 c'
_symmetry_Int_Tables_number 114
_cell_length_a 8.635
_cell_length_b 8.635
_cell_length_c 6.339
_cell_angle_alpha 90.00
_cell_angle_beta 90.00
_cell_angle_gamma 90.00
loop_
_symmetry_equiv_pos_as_xyz
'x,y,z'
'y,-x,-z'
'-x,-y,z'
'-y,x,-z'
'x+1/2,-y+1/2,-z+1/2'
'y+1/2,x+1/2,z+1/2'
'-x+1/2,y+1/2,-z+1/2'
'-y+1/2,-x+1/2,z+1/2'
loop_
_atom_site_label
_atom_site_type_symbol
_atom_site_fract_x
_atom_site_fract_y
_atom_site_fract_z
_atom_site_occupancy
Ag1 Ag 0.000 0.500 0.001 1
H1 H 0.059 0.217 0.143 1
H2 H 0.097 0.211 0.884 1
H3 H 0.204 0.277 0.548 1
S1 S 0.000 0.000 0.500 1
N1 N 0.107 0.278 0.018 1
O1 O 0.070 0.877 0.364 1
```

---

The following is a computed powder X-ray diffraction pattern of Hf2TaAu2. It was derived from the GGA-PBE geometry in Alexandria, using Cu Kα X-rays.
Intensities are scaled so that the largest is 100.

Main lines, by angle (2θ = 15–90°):
34.87 deg, I 29.6, hkl 0 4 1; 36.17 deg, I 100.0, hkl 1 5 0; 37.33 deg, I 86.0, hkl 1 1 1; 40.39 deg, I 16.4, hkl 1 3 1; 42.55 deg, I 43.5, hkl 0 6 1; 49.62 deg, I 22.0, hkl 2 0 0; 56.66 deg, I 14.8, hkl 0 0 2; 67.39 deg, I 22.6, hkl 2 6 1; 69.09 deg, I 30.9, hkl 1 5 2; 72.97 deg, I 22.4, hkl 1 11 1

Cell and atoms:
```
data_Hf2TaAu2
_symmetry_space_group_name_H-M 'C m m m'
_symmetry_Int_Tables_number 65
_symmetry_space_group_name_Hall '-C 2 2'
_cell_length_a 3.674
_cell_length_b 16.850
_cell_length_c 3.249
_cell_angle_alpha 90.00
_cell_angle_beta 90.00
_cell_angle_gamma 90.00
loop_
_atom_site_label
_atom_site_type_symbol
_atom_site_fract_x
_atom_site_fract_y
_atom_site_fract_z
_atom_site_occupancy
Hf1 Hf 0.000 0.100 0.000 1
Ta1 Ta 0.000 0.500 0.500 1
Au1 Au 0.000 0.312 0.500 1
```

---

The following is a computed powder X-ray diffraction pattern of Sm2PaTeO8. It was derived from the GGA-PBE geometry in Alexandria, using Cu Kα X-rays.
Intensities are scaled so that the largest is 100.

Main lines, by angle (2θ = 15–90°):
26.04 deg, I 67.1, hkl 1 0 -2; 28.94 deg, I 100.0, hkl 1 1 0; 29.10 deg, I 50.3, hkl 1 0 2; 32.77 deg, I 71.1, hkl 2 0 0; 45.06 deg, I 41.3, hkl 2 1 -2; 45.26 deg, I 19.5, hkl 0 0 4; 48.73 deg, I 17.0, hkl 0 2 0; 48.94 deg, I 31.4, hkl 2 1 2; 52.84 deg, I 28.5, hkl 1 1 -4; 56.19 deg, I 17.4, hkl 3 1 0

Cell and atoms:
```
data_Sm2PaTeO8
_symmetry_space_group_name_H-M 'P 1 2/m 1'
_symmetry_Int_Tables_number 10
_cell_length_a 5.499
_cell_length_b 3.738
_cell_length_c 8.067
_cell_angle_alpha 90.00
_cell_angle_beta 96.54
_cell_angle_gamma 90.00
loop_
_symmetry_equiv_pos_as_xyz
'x,y,z'
'-x,-y,-z'
'-x,y,-z'
'x,-y,z'
loop_
_atom_site_label
_atom_site_type_symbol
_atom_site_fract_x
_atom_site_fract_y
_atom_site_fract_z
_atom_site_occupancy
Sm1 Sm 0.012 0.000 0.245 1
Pa1 Pa 0.500 0.500 0.000 1
Te1 Te 0.500 0.500 0.500 1
O1 O 0.225 0.500 0.787 1
O2 O 0.266 0.000 0.023 1
O3 O 0.280 0.000 0.531 1
O4 O 0.302 0.500 0.274 1
```

---

> What is the formula in the fifth record?

MnV2Ge2